The following is a calculated PXRD pattern of NaNpCoO6. It was derived from the GGA+U geometry in Alexandria, using Cu Kα (λ = 1.5418 Å).
Neutral-atom scattering factors, no anomalous dispersion.

Atomic structure:
```
data_NaNpCoO6
_cell_length_a 5.1753
_cell_length_b 5.1753
_cell_length_c 10.4240
_cell_angle_alpha 90.00
_cell_angle_beta 90.00
_cell_angle_gamma 120.00
_space_group_name_H-M_alt 'P -3 1 c'
_space_group_IT_number 163
_space_group_name_Hall '-P 3 2c'
loop_
_atom_site_label
_atom_site_type_symbol
_atom_site_fract_x
_atom_site_fract_y
_atom_site_fract_z
Na1 Na 0.0000 0.0000 0.0000
Np1 Np 0.3333 0.6667 0.2500
Co1 Co 0.3333 0.6667 0.7500
O1 O 0.0177 0.3763 0.6490
```

Top 10 peaks for 10° ≤ 2θ ≤ 90°, in order of rising 2θ:
two_theta  I/Imax  hkl
17.01  100  0 0 2
19.81  42  1 0 0
21.58  72  1 0 1
26.22  73  1 0 2
32.61  30  1 0 3
34.67  42  1 1 0
38.86  60  1 1 2
41.20  17  2 0 1
49.65  53  1 1 4
64.62  17  2 -1 6